Simulated powder diffractogram
Compound: Ca6Nd6Mn11CrO36
Radiation: Cu Kα X-rays
Structure: a DFT-relaxed cell (PBE+U, the Materials Project)
Peak positions follow from Bragg's law for the DFT cell and can differ from measured ones.

Largest 10 diffraction maxima, low angle first, 5 to 70 degrees two-theta:
hkl	two_theta	d/Å	Rel. int.
0 0 2	7.55	11.703	27
-1 1 6	32.45	2.759	100
1 -1 6	32.61	2.746	71
2 0 0	32.81	2.730	34
2 0 -6	40.32	2.237	12
0 0 12	46.56	1.950	23
2 -2 0	46.79	1.941	42
2 0 12	58.05	1.589	24
3 1 -6	58.43	1.579	23
2 2 -12	68.31	1.373	11

Crystal structure
```
Ca6Nd6Mn11CrO36
1.0
5.4600 0.0000 0.0000
0.0106 5.5229 0.0000
0.0414 0.1366 23.4051
Ca Nd Mn Cr O
6 6 11 1 36
Direct
0.0000 0.0000 0.0000
0.9996 0.0037 0.6711
0.4811 0.4971 0.9987
0.4996 0.4133 0.8389
0.5002 0.4175 0.5102
0.9813 0.9190 0.5112
0.0001 0.9984 0.3431
0.4842 0.4998 0.6724
0.4854 0.4976 0.3429
0.4959 0.4194 0.1673
0.9809 0.9189 0.1674
0.9842 0.9171 0.8374
0.4892 0.9625 0.5892
0.4905 0.9573 0.4280
0.4911 0.9592 0.0821
0.4908 0.9612 0.7548
0.4920 0.9562 0.9209
0.9891 0.4547 0.9210
0.9906 0.4559 0.7550
0.9908 0.4579 0.4274
0.9906 0.4585 0.2552
0.9907 0.4601 0.0829
0.9919 0.4604 0.5888
0.4903 0.9587 0.2552
0.0556 0.4682 0.1724
0.0692 0.4691 0.8370
0.0706 0.4870 0.5082
0.1967 0.7481 0.9320
0.1971 0.7554 0.0770
0.2020 0.7466 0.7416
0.2049 0.7464 0.6049
0.2131 0.7384 0.4083
0.2160 0.7618 0.2687
0.2724 0.2371 0.4087
0.2739 0.2417 0.7420
0.2774 0.2428 0.9339
0.2791 0.2480 0.6023
0.2839 0.2548 0.0763
0.2908 0.2400 0.2694
0.4106 0.9817 0.5088
0.4175 0.9724 0.1756
0.4221 0.9787 0.8368
0.5638 0.9451 0.3350
0.5692 0.9299 0.0010
0.5697 0.9474 0.6732
0.6899 0.6769 0.2411
0.6979 0.6626 0.4336
0.6977 0.6688 0.5779
0.7020 0.6700 0.7683
0.7043 0.6702 0.9049
0.7096 0.6806 0.1020
0.7648 0.1556 0.2418
0.7691 0.1784 0.1016
0.7741 0.1754 0.7676
0.7784 0.1695 0.9076
0.7782 0.1744 0.5761
0.7841 0.1619 0.4338
0.9099 0.4354 0.0019
0.9225 0.4387 0.6727
0.9258 0.4484 0.3381
```

=====

Simulated powder diffractogram
Compound: Ca8Mn7CrO21
Radiation: Cu Kα X-rays
Structure: a DFT-relaxed cell (PBE+U, the Materials Project)
Peak positions follow from Bragg's law for the DFT cell and can differ from measured ones.

Largest 10 diffraction maxima, low angle first, 5 to 70 degrees two-theta:
hkl	two_theta	d/Å	Rel. int.
0 0 2	22.91	3.883	13
0 2 2	32.62	2.745	45
2 0 2	32.79	2.731	100
0 0 4	46.71	1.945	20
0 4 0	46.90	1.937	22
4 0 0	47.30	1.922	17
2 2 4	58.26	1.584	17
2 4 2	58.38	1.581	17
4 2 2	58.65	1.574	15
4 0 4	68.78	1.365	14

Crystal structure
```
Ca8Mn7CrO21
1.0
7.6865 0.0000 0.0000
0.0000 7.7490 0.0000
-0.0124 0.0000 7.7791
Ca Mn Cr O
8 7 1 21
Direct
0.0000 0.2327 0.0000
0.0000 0.7673 0.0000
0.4412 0.2420 0.5307
0.4412 0.7580 0.5307
0.4562 0.2373 0.0343
0.4562 0.7627 0.0343
0.9778 0.2540 0.5144
0.9778 0.7460 0.5144
0.1979 0.5000 0.2619
0.2035 0.0000 0.2674
0.2036 0.0000 0.7640
0.2204 0.5000 0.7589
0.6920 0.0000 0.2781
0.7029 0.5000 0.7746
0.7093 0.0000 0.7700
0.7111 0.5000 0.2544
0.2028 0.2515 0.2576
0.2028 0.7485 0.2576
0.2121 0.0000 0.5204
0.2146 0.0000 0.0099
0.2174 0.5000 0.5071
0.2180 0.5000 0.0130
0.2287 0.2446 0.7708
0.2287 0.7554 0.7708
0.4465 0.0000 0.2561
0.4691 0.5000 0.7056
0.6392 0.2928 0.3229
0.6392 0.7072 0.3229
0.6532 0.5000 0.0323
0.6594 0.0000 0.5318
0.6710 0.0000 0.0170
0.6833 0.2464 0.7685
0.6833 0.7536 0.7685
0.9360 0.5000 0.3097
0.9440 0.0000 0.2655
0.9539 0.5000 0.7428
0.9549 0.0000 0.7765
```